Calculated X-ray powder pattern
Compound: As2Se2SN2F12
Radiation: Cu Kα (weighted mean of Kα1 and Kα2)
Structure: a DFT-relaxed cell (PBE, the Materials Project)
Kinematic intensities with the Lorentz-polarization factor, no thermal factor.

Structure:
Lattice parameters (Å, degrees): 7.793 7.793 10.943 92.91 92.91 68.75
Fractional positions:
As1 0.000 0.000 0.000
As2 0.382 0.346 0.752
As3 0.654 0.618 0.248
As4 0.993 0.007 0.500
Se1 0.422 0.140 0.139
Se2 0.430 0.157 0.357
Se3 0.843 0.570 0.643
Se4 0.860 0.578 0.861
S1 0.203 0.500 0.244
S2 0.500 0.797 0.756
N1 0.274 0.368 0.127
N2 0.283 0.386 0.363
N3 0.614 0.717 0.637
N4 0.632 0.726 0.873
F1 0.058 0.776 0.057
F2 0.077 0.812 0.401
F3 0.080 0.077 0.140
F4 0.106 0.125 0.417
F5 0.153 0.336 0.749
F6 0.188 0.923 0.599
F7 0.224 0.942 0.943
F8 0.304 0.512 0.638
F9 0.310 0.522 0.867
F10 0.445 0.168 0.637
F11 0.450 0.176 0.865
F12 0.478 0.690 0.133
F13 0.488 0.696 0.362
F14 0.603 0.360 0.756
F15 0.640 0.397 0.244
F16 0.664 0.847 0.251
F17 0.776 0.063 0.059
F18 0.793 0.098 0.402
F19 0.824 0.550 0.135
F20 0.832 0.555 0.363
F21 0.875 0.894 0.583
F22 0.902 0.207 0.598
F23 0.923 0.920 0.860
F24 0.937 0.224 0.941

Peak list (10 most intense, 2θ from 15° to 90°, low angle first)
- 2θ 20.0, I 69.4
- 2θ 20.2, I 41.3
- 2θ 20.7, I 89.4
- 2θ 22.0, I 14.9
- 2θ 23.1, I 100.0
- 2θ 24.1, I 18.9
- 2θ 24.5, I 28.5
- 2θ 36.5, I 22.5
- 2θ 47.0, I 17.4
- 2θ 51.3, I 21.0